Record 1
Starting from a crystal structure in Alexandria, relaxed with PBE, the powder XRD pattern of SrTb2S3 was simulated for Cu Kα (weighted mean of Kα1 and Kα2).

Crystal structure
```
data_SrTb2S3
_symmetry_space_group_name_H-M 'I m m m'
_symmetry_Int_Tables_number 71
_symmetry_space_group_name_Hall '-I 2 2'
_cell_length_a 3.999
_cell_length_b 5.693
_cell_length_c 12.144
_cell_angle_alpha 90.00
_cell_angle_beta 90.00
_cell_angle_gamma 90.00
loop_
_atom_site_label
_atom_site_type_symbol
_atom_site_fract_x
_atom_site_fract_y
_atom_site_fract_z
_atom_site_occupancy
Sr1 Sr 0.000 0.000 0.000 1
Tb1 Tb 0.000 0.000 0.337 1
S1 S 0.000 0.500 0.000 1
S2 S 0.000 0.500 0.324 1
```

Peak list (10 most intense, 10° ≤ 2θ ≤ 80°, in order of falling intensity)
| two_theta | I (rel.) | (hkl) |
| --- | --- | --- |
| 31.44 | 100 | 0 2 0 |
| 45.05 | 48 | 1 2 3 |
| 27.03 | 35 | 0 1 3 |
| 27.25 | 34 | 1 1 0 |
| 74.57 | 21 | 1 4 3 |
| 55.73 | 13 | 0 2 6 |
| 56.22 | 12 | 2 2 0 |
| 44.78 | 12 | 0 0 6 |
| 45.36 | 12 | 2 0 0 |
| 53.21 | 12 | 1 1 6 |


Record 2
Starting from a crystal structure in Alexandria, relaxed with PBE, the powder XRD pattern of SrTb4S6 was simulated for Cu Kα (weighted mean of Kα1 and Kα2).

Crystal structure
```
data_SrTb4S6
_symmetry_space_group_name_H-M 'C m c m'
_symmetry_Int_Tables_number 63
_symmetry_space_group_name_Hall '-C 2c 2'
_cell_length_a 3.955
_cell_length_b 13.032
_cell_length_c 20.280
_cell_angle_alpha 90.00
_cell_angle_beta 90.00
_cell_angle_gamma 90.00
loop_
_atom_site_label
_atom_site_type_symbol
_atom_site_fract_x
_atom_site_fract_y
_atom_site_fract_z
_atom_site_occupancy
Sr1 Sr 0.000 0.157 0.250 1
Tb1 Tb 0.000 0.095 0.629 1
Tb2 Tb 0.000 0.363 0.541 1
S1 S 0.000 0.000 0.000 1
S2 S 0.000 0.177 0.750 1
S3 S 0.000 0.270 0.086 1
S4 S 0.000 0.458 0.661 1
```

Peak list (10 most intense, 10° ≤ 2θ ≤ 80°, in order of falling intensity)
| two_theta | I (rel.) | (hkl) |
| --- | --- | --- |
| 25.87 | 100 | 0 2 5 |
| 31.85 | 71 | 1 3 2 |
| 33.38 | 58 | 1 3 3 |
| 30.89 | 43 | 1 3 1 |
| 47.45 | 41 | 0 6 5 |
| 27.00 | 40 | 1 1 3 |
| 42.94 | 37 | 1 1 8 |
| 45.35 | 36 | 1 5 4 |
| 33.86 | 34 | 0 2 7 |
| 27.37 | 33 | 0 4 0 |